For AcLaSm2Er4, a cell relaxed with GGA-PBE gives the computed powder XRD pattern in this record (Cu Ka).
Peak positions follow from Bragg's law for the DFT cell and can differ from measured ones.

Atomic structure:
```
AcLaSm2Er4
1.0
7.3475 0.0000 0.0000
-0.0127 7.3723 0.0000
-0.0063 -0.0003 9.9875
Ac La Sm Er
2 2 4 8
Cartesian
0.0000 0.0000 0.0000
-0.0095 3.6860 4.9937
-0.0031 -0.0002 4.9937
3.6706 -0.0002 4.9937
-0.0063 3.6862 0.0000
3.6738 0.0000 0.0000
3.6674 3.6862 0.0000
3.6643 3.6860 4.9937
1.8730 1.8611 7.5141
1.8773 1.8632 2.4735
1.8693 5.5116 2.4735
1.8653 5.5108 7.5145
5.4633 1.8612 2.4730
5.4592 1.8604 7.5140
5.4512 5.5088 7.5140
5.4556 5.5109 2.4734
```

The 10 most intense peaks (10 to 90 degrees two-theta), by angle:
| (hkl) | Position (°2θ) | Rel. int. |
| --- | --- | --- |
| 0 2 2 | 30.17 | 100 |
| 2 2 0 | 34.47 | 35 |
| 0 0 4 | 35.97 | 16 |
| 0 4 0 | 49.45 | 6 |
| 2 2 4 | 50.67 | 24 |
| 2 4 2 | 59.05 | 15 |
| 4 2 -2 | 59.15 | 11 |
| 0 2 6 | 61.10 | 14 |
| 0 4 4 | 62.65 | 6 |
| 2 4 6 | 82.36 | 7 |